# 1
Starting from a structure optimized by DFT (PBE), the X-ray powder pattern of Tl2Te2PdPt was calculated for Cu Kα X-rays.
Peak positions follow from Bragg's law for the DFT cell and can differ from measured ones.

Structure:
```
data_Tl2Te2PdPt
_chemical_formula_sum 'Tl8 Te8 Pd4 Pt4'
_cell_length_a 6.476
_cell_length_b 15.640
_cell_length_c 6.505
_cell_angle_alpha 90.00
_cell_angle_beta 90.00
_cell_angle_gamma 90.00
_symmetry_space_group_name_H-M 'I b a m'
_symmetry_Int_Tables_number 72
_symmetry_space_group_name_Hall '-I 2 2c'
loop_
_atom_site_label
_atom_site_type_symbol
_atom_site_fract_x
_atom_site_fract_y
_atom_site_fract_z
Tl1 Tl 0.247 0.162 0.000
Te1 Te 0.245 0.405 0.000
Pd1 Pd 0.000 0.000 0.250
Pt1 Pt 0.000 0.500 0.250
```

Top 10 peaks for 10 to 90 degrees two-theta, sorted by position:
2θ (°)	intensity	(hkl)
11.31	46.4	0 2 0
29.75	32.2	0 2 2
29.87	31.9	2 2 0
30.02	100.0	1 4 1
35.91	66.5	0 4 2
36.01	65.9	2 4 0
39.26	90.7	2 0 2
50.12	24.4	1 4 3
50.28	24.0	3 4 1
50.76	38.3	1 8 1


# 2
Starting from a structure optimized by DFT (PBE), the X-ray powder pattern of La6TbEr5 was calculated for Cu Kα X-rays.
Peak positions follow from Bragg's law for the DFT cell and can differ from measured ones.

Structure:
```
data_La6TbEr5
_chemical_formula_sum 'La6 Tb1 Er5'
_cell_length_a 6.173
_cell_length_b 7.416
_cell_length_c 8.903
_cell_angle_alpha 90.00
_cell_angle_beta 93.04
_cell_angle_gamma 90.00
_symmetry_space_group_name_H-M 'P 1 2/m 1'
_symmetry_Int_Tables_number 10
loop_
_symmetry_equiv_pos_as_xyz
'x,y,z'
'-x,-y,-z'
'-x,y,-z'
'x,-y,z'
loop_
_atom_site_label
_atom_site_type_symbol
_atom_site_fract_x
_atom_site_fract_y
_atom_site_fract_z
La1 La 0.000 0.250 0.000
La2 La 0.333 0.250 0.666
Tb1 Tb 0.500 0.000 0.000
Er1 Er 0.167 0.000 0.334
Er2 Er 0.167 0.500 0.333
Er3 Er 0.500 0.500 0.000
```

Top 10 peaks for 10 to 90 degrees two-theta, sorted by position:
2θ (°)	intensity	(hkl)
30.15	100.0	1 2 1
34.24	35.7	1 2 -2
36.34	15.2	2 0 2
49.14	6.5	0 4 0
49.26	6.4	2 0 -4
50.79	23.5	3 2 0
58.79	30.2	0 4 3
61.59	13.1	4 0 1
62.66	9.3	2 4 2
82.55	8.6	4 4 1


# 3
Starting from a structure optimized by DFT (PBE), the X-ray powder pattern of KRh was calculated for Cu Kα X-rays.
Peak positions follow from Bragg's law for the DFT cell and can differ from measured ones.

Structure:
```
data_KRh
_chemical_formula_sum 'K2 Rh2'
_cell_length_a 4.105
_cell_length_b 4.118
_cell_length_c 9.512
_cell_angle_alpha 92.76
_cell_angle_beta 101.50
_cell_angle_gamma 114.56
_symmetry_space_group_name_H-M 'P -1'
_symmetry_Int_Tables_number 2
loop_
_symmetry_equiv_pos_as_xyz
'x,y,z'
'-x,-y,-z'
loop_
_atom_site_label
_atom_site_type_symbol
_atom_site_fract_x
_atom_site_fract_y
_atom_site_fract_z
K1 K 0.160 0.095 0.261
Rh1 Rh 0.318 0.682 0.000
```

Top 10 peaks for 10 to 90 degrees two-theta, sorted by position:
2θ (°)	intensity	(hkl)
19.25	75.8	0 0 2
28.52	100.0	1 -1 1
28.60	45.2	0 1 -2
29.06	87.4	0 0 3
30.93	67.1	-1 1 2
33.91	47.7	1 -1 2
39.08	61.2	0 0 4
40.59	56.0	1 1 -1
41.80	51.6	1 1 0
45.11	44.4	2 -1 0


# 4
Starting from a structure optimized by DFT (PBE), the X-ray powder pattern of Sm3Er5Th2 was calculated for Cu Kα X-rays.
Peak positions follow from Bragg's law for the DFT cell and can differ from measured ones.

Structure:
```
data_Sm3Er5Th2
_chemical_formula_sum 'Sm12 Er20 Th8'
_cell_length_a 9.518
_cell_length_b 13.231
_cell_length_c 11.170
_cell_angle_alpha 90.00
_cell_angle_beta 90.00
_cell_angle_gamma 90.00
_symmetry_space_group_name_H-M 'I b a m'
_symmetry_Int_Tables_number 72
_symmetry_space_group_name_Hall '-I 2 2c'
loop_
_atom_site_label
_atom_site_type_symbol
_atom_site_fract_x
_atom_site_fract_y
_atom_site_fract_z
Sm1 Sm 0.000 0.000 0.250
Sm2 Sm 0.249 0.373 0.000
Er1 Er 0.000 0.250 0.250
Er2 Er 0.000 0.500 0.250
Er3 Er 0.082 0.373 0.500
Th1 Th 0.100 0.111 0.000
```

Top 10 peaks for 10 to 90 degrees two-theta, sorted by position:
2θ (°)	intensity	(hkl)
18.64	26.8	2 0 0
24.58	26.4	2 0 2
31.43	100.0	0 4 2
32.05	49.0	0 0 4
32.30	71.2	3 2 1
36.80	20.7	2 4 2
39.74	40.9	3 2 3
51.10	18.4	3 6 1
51.93	19.3	3 2 5
56.74	19.1	0 4 6


# 5
Starting from a structure optimized by DFT (PBE), the X-ray powder pattern of KTmCuS2 was calculated for Cu Kα X-rays.
Peak positions follow from Bragg's law for the DFT cell and can differ from measured ones.

Structure:
```
data_KTmCuS2
_chemical_formula_sum 'K2 Tm2 Cu2 S4'
_cell_length_a 7.380
_cell_length_b 4.562
_cell_length_c 7.730
_cell_angle_alpha 90.00
_cell_angle_beta 99.43
_cell_angle_gamma 90.00
_symmetry_space_group_name_H-M 'P 1 2/c 1'
_symmetry_Int_Tables_number 13
loop_
_symmetry_equiv_pos_as_xyz
'x,y,z'
'-x,-y,-z'
'-x,y,-z+1/2'
'x,-y,z+1/2'
loop_
_atom_site_label
_atom_site_type_symbol
_atom_site_fract_x
_atom_site_fract_y
_atom_site_fract_z
K1 K 0.000 0.159 0.250
Tm1 Tm 0.500 0.493 0.750
Cu1 Cu 0.500 0.000 0.000
S1 S 0.270 0.330 0.966
```

Top 10 peaks for 10 to 90 degrees two-theta, sorted by position:
2θ (°)	intensity	(hkl)
12.16	100.0	1 0 0
23.01	17.8	1 1 0
24.45	22.3	2 0 0
30.56	19.3	0 1 2
31.49	31.6	1 1 -2
34.44	29.6	1 1 2
36.89	26.6	2 1 -2
41.49	15.1	1 2 0
41.98	14.3	2 1 2
45.46	14.7	3 1 -2


# 6
Starting from a structure optimized by DFT (PBE), the X-ray powder pattern of Fe6Rh3N was calculated for Cu Kα X-rays.
Peak positions follow from Bragg's law for the DFT cell and can differ from measured ones.

Structure:
```
data_Fe6Rh3N
_chemical_formula_sum 'Fe36 Rh18 N6'
_cell_length_a 7.9800
_cell_length_b 7.9800
_cell_length_c 12.9196
_cell_angle_alpha 90.00
_cell_angle_beta 90.00
_cell_angle_gamma 120.00
_symmetry_space_group_name_H-M 'R -3 m'
_symmetry_Int_Tables_number 166
_symmetry_space_group_name_Hall '-R 3 2"'
loop_
_atom_site_label
_atom_site_type_symbol
_atom_site_fract_x
_atom_site_fract_y
_atom_site_fract_z
Fe1 Fe 0.1048 0.5524 0.0844
Fe2 Fe 0.1082 0.5541 0.7543
Rh1 Rh 0.1078 0.5539 0.4139
N1 N 0.0000 0.0000 0.0000
N2 N 0.0000 0.0000 0.5000
```

Top 10 peaks for 10 to 90 degrees two-theta, sorted by position:
2θ (°)	intensity	(hkl)
18.80	6.0	0 1 2
30.55	3.5	1 0 4
39.10	22.8	3 0 0
41.96	25.5	0 0 6
44.61	100.0	0 3 3
58.69	15.5	3 0 6
70.85	16.2	3 3 0
78.51	16.9	3 0 9
85.89	17.9	3 3 6
87.71	13.2	6 0 3


# 7
Starting from a structure optimized by DFT (PBE), the X-ray powder pattern of K2Na4Au was calculated for Cu Kα X-rays.
Peak positions follow from Bragg's law for the DFT cell and can differ from measured ones.

Structure:
```
data_K2Na4Au
_chemical_formula_sum 'K8 Na16 Au4'
_cell_length_a 14.462
_cell_length_b 14.462
_cell_length_c 5.717
_cell_angle_alpha 90.00
_cell_angle_beta 90.00
_cell_angle_gamma 90.00
_symmetry_space_group_name_H-M 'I 4/m c m'
_symmetry_Int_Tables_number 140
_symmetry_space_group_name_Hall '-I 4 2c'
loop_
_atom_site_label
_atom_site_type_symbol
_atom_site_fract_x
_atom_site_fract_y
_atom_site_fract_z
K1 K 0.129 0.371 0.000
Na1 Na 0.076 0.171 0.500
Au1 Au 0.000 0.000 0.250
```

Top 10 peaks for 10 to 90 degrees two-theta, sorted by position:
2θ (°)	intensity	(hkl)
12.24	100.0	2 0 0
17.34	34.0	2 2 0
19.41	78.5	3 1 0
27.58	33.6	4 2 0
31.54	35.2	5 1 0
36.00	22.2	2 2 2
37.09	30.1	3 1 2
40.22	30.5	4 0 2
41.20	21.7	3 3 2
55.22	24.5	5 5 2


# 8
Starting from a structure optimized by DFT (PBE), the X-ray powder pattern of Nb5SnS8 was calculated for Cu Kα X-rays.
Peak positions follow from Bragg's law for the DFT cell and can differ from measured ones.

Structure:
```
data_Nb5SnS8
_chemical_formula_sum 'Nb20 Sn4 S32'
_cell_length_a 10.581
_cell_length_b 10.581
_cell_length_c 10.581
_cell_angle_alpha 90.00
_cell_angle_beta 90.00
_cell_angle_gamma 90.00
_symmetry_space_group_name_H-M 'F -4 3 m'
_symmetry_Int_Tables_number 216
_symmetry_space_group_name_Hall 'F -4 2 3'
loop_
_atom_site_label
_atom_site_type_symbol
_atom_site_fract_x
_atom_site_fract_y
_atom_site_fract_z
Nb1 Nb 0.000 0.000 0.000
Nb2 Nb 0.108 0.108 0.608
Sn1 Sn 0.250 0.250 0.250
S1 S 0.117 0.117 0.383
S2 S 0.133 0.133 0.867
```

Top 10 peaks for 10 to 90 degrees two-theta, sorted by position:
2θ (°)	intensity	(hkl)
14.50	16.6	1 1 1
23.78	41.9	2 2 0
27.97	100.0	3 1 1
33.89	22.7	4 0 0
41.82	21.1	4 2 2
44.49	56.4	5 1 1
48.68	63.2	4 4 0
66.08	15.0	6 4 2
68.06	22.9	5 5 3
76.37	11.3	6 6 0


# 9
Starting from a structure optimized by DFT (PBE), the X-ray powder pattern of Ta2Zn3Ni4 was calculated for Cu Kα X-rays.
Peak positions follow from Bragg's law for the DFT cell and can differ from measured ones.

Structure:
```
data_Ta2Zn3Ni4
_chemical_formula_sum 'Ta2 Zn3 Ni4'
_cell_length_a 4.2060
_cell_length_b 4.2060
_cell_length_c 7.8744
_cell_angle_alpha 90.00
_cell_angle_beta 90.00
_cell_angle_gamma 120.00
_symmetry_space_group_name_H-M 'P -3 m 1'
_symmetry_Int_Tables_number 164
_symmetry_space_group_name_Hall '-P 3 2"'
loop_
_atom_site_label
_atom_site_type_symbol
_atom_site_fract_x
_atom_site_fract_y
_atom_site_fract_z
Ta1 Ta 0.3333 0.6667 0.2821
Zn1 Zn 0.0000 0.0000 0.5000
Zn2 Zn 0.3333 0.6667 0.9273
Ni1 Ni 0.0000 0.0000 0.1577
Ni2 Ni 0.3333 0.6667 0.6032
```

Top 10 peaks for 10 to 90 degrees two-theta, sorted by position:
2θ (°)	intensity	(hkl)
22.58	8.5	0 0 2
24.44	7.7	1 0 0
26.97	31.3	0 1 1
33.52	15.0	1 0 2
42.45	100.0	0 1 3
43.01	96.2	1 1 0
62.02	31.4	2 0 3
77.27	14.5	1 0 6
78.44	31.1	1 2 3
78.83	15.3	3 0 0


# 10
Starting from a structure optimized by DFT (PBE), the X-ray powder pattern of Cs3RbMn2Br9 was calculated for Cu Kα X-rays.
Peak positions follow from Bragg's law for the DFT cell and can differ from measured ones.

Structure:
```
data_Cs3RbMn2Br9
_chemical_formula_sum 'Cs3 Rb1 Mn2 Br9'
_cell_length_a 7.7590
_cell_length_b 7.7590
_cell_length_c 10.8855
_cell_angle_alpha 90.00
_cell_angle_beta 90.00
_cell_angle_gamma 120.00
_symmetry_space_group_name_H-M 'P -3 m 1'
_symmetry_Int_Tables_number 164
_symmetry_space_group_name_Hall '-P 3 2"'
loop_
_atom_site_label
_atom_site_type_symbol
_atom_site_fract_x
_atom_site_fract_y
_atom_site_fract_z
Cs1 Cs 0.0000 0.0000 0.0000
Cs2 Cs 0.3333 0.6667 0.7255
Rb1 Rb 0.0000 0.0000 0.5000
Mn1 Mn 0.3333 0.6667 0.1525
Br1 Br 0.0000 0.5000 0.0000
Br2 Br 0.1746 0.3493 0.2785
```

Top 10 peaks for 10 to 90 degrees two-theta, sorted by position:
2θ (°)	intensity	(hkl)
21.00	21.4	0 1 2
22.92	16.7	1 1 0
27.79	71.5	0 2 1
31.29	100.0	2 0 2
32.91	16.9	0 0 4
36.45	31.0	2 0 3
46.84	34.4	2 2 0
49.92	22.0	0 2 5
57.41	16.7	0 4 2
58.43	18.7	2 2 4


# 11
Starting from a structure optimized by DFT (PBE), the X-ray powder pattern of Y5Hg4Ir was calculated for Cu Kα X-rays.
Peak positions follow from Bragg's law for the DFT cell and can differ from measured ones.

Structure:
```
data_Y5Hg4Ir
_chemical_formula_sum 'Y5 Hg4 Ir1'
_cell_length_a 3.627
_cell_length_b 3.627
_cell_length_c 18.753
_cell_angle_alpha 90.00
_cell_angle_beta 90.00
_cell_angle_gamma 90.00
_symmetry_space_group_name_H-M 'P 4/m m m'
_symmetry_Int_Tables_number 123
_symmetry_space_group_name_Hall '-P 4 2'
loop_
_atom_site_label
_atom_site_type_symbol
_atom_site_fract_x
_atom_site_fract_y
_atom_site_fract_z
Y1 Y 0.000 0.000 0.000
Y2 Y 0.000 0.000 0.206
Y3 Y 0.000 0.000 0.414
Hg1 Hg 0.500 0.500 0.102
Hg2 Hg 0.500 0.500 0.306
Ir1 Ir 0.500 0.500 0.500
```

Top 10 peaks for 10 to 90 degrees two-theta, sorted by position:
2θ (°)	intensity	(hkl)
23.72	9.2	0 0 5
24.54	16.1	1 0 0
34.40	100.0	1 0 5
34.98	49.7	1 1 0
42.71	8.6	1 1 5
48.55	8.4	0 0 10
50.31	17.8	2 0 0
61.23	16.9	1 1 10
62.37	35.9	2 1 5
72.50	10.3	2 0 10


# 12
Starting from a structure optimized by DFT (PBE), the X-ray powder pattern of DyU2N3 was calculated for Cu Kα X-rays.
Peak positions follow from Bragg's law for the DFT cell and can differ from measured ones.

Structure:
```
data_DyU2N3
_chemical_formula_sum 'Dy2 U4 N6'
_cell_length_a 3.452
_cell_length_b 3.452
_cell_length_c 14.612
_cell_angle_alpha 90.00
_cell_angle_beta 90.00
_cell_angle_gamma 90.00
_symmetry_space_group_name_H-M 'I 4/m m m'
_symmetry_Int_Tables_number 139
_symmetry_space_group_name_Hall '-I 4 2'
loop_
_atom_site_label
_atom_site_type_symbol
_atom_site_fract_x
_atom_site_fract_y
_atom_site_fract_z
Dy1 Dy 0.000 0.000 0.000
U1 U 0.000 0.000 0.334
N1 N 0.000 0.000 0.166
N2 N 0.000 0.000 0.500
```

Top 10 peaks for 10 to 90 degrees two-theta, sorted by position:
2θ (°)	intensity	(hkl)
31.77	100.0	1 0 3
36.85	66.4	1 1 0
53.11	46.5	2 0 0
63.19	30.5	2 1 3
63.30	15.2	1 0 9
66.39	16.0	2 0 6
78.35	5.1	2 2 0
87.02	6.9	3 0 3
87.12	13.8	2 1 9
89.89	15.4	3 1 0